Diffraction record for TbInNi. The powder XRD pattern is theoretical, not measured: it uses a PBE-relaxed structure and Cu Kα, 1.54184 Å.

Structural model:
a = 7.4907 Å, b = 7.4907 Å, c = 3.7842 Å
α = 90.00°, β = 90.00°, γ = 120.00°
Space group P-62m (No. 189)
Asymmetric unit:
Tb: 0.0000 0.5891 0.0000
In: 0.0000 0.2552 0.5000
Ni: 0.0000 0.0000 0.0000
Ni: 0.3333 0.6667 0.5000

Top 10 peaks for 10 to 90 degrees two-theta, sorted by position:
2theta  I/Imax  (hkl)
33.67  100  1 1 1
36.48  73  2 0 1
36.65  54  2 1 0
41.77  24  3 0 0
48.09  19  0 0 2
50.74  15  3 1 0
56.65  23  3 1 1
61.95  23  2 1 2
65.56  12  3 0 2
67.65  25  3 2 1